(1)
Theoretical powder diffractogram
Compound: MgAg2O4
Radiation: Cu Kα (weighted mean of Kα1 and Kα2)
Structure: a PBE-relaxed structure
Peak positions follow from Bragg's law for the DFT cell and can differ from measured ones.

The 8 most intense peaks (15 to 90 degrees two-theta), sorted by position:
h k l, two_theta, I (rel.)
0 0 2, 18.08, 532
0 2 1, 18.66, 317
1 1 0, 29.29, 410
0 2 3, 31.93, 1000
0 4 0, 32.96, 385
1 3 0, 37.65, 345
1 3 2, 42.07, 239
2 1 0, 58.71, 308

Cell and atoms:
```
data_MgAg2O4
_chemical_formula_sum 'Mg4 Ag8 O16'
_symmetry_space_group_name_H-M 'P b c m'
_symmetry_Int_Tables_number 57
_symmetry_space_group_name_Hall '-P 2c 2b'
_cell_length_a 3.177
_cell_length_b 10.870
_cell_length_c 9.814
_cell_angle_alpha 90.00
_cell_angle_beta 90.00
_cell_angle_gamma 90.00
loop_
_atom_site_label
_atom_site_fract_x
_atom_site_fract_y
_atom_site_fract_z
Mg1 0.131 0.147 0.250
Ag1 0.346 0.616 0.572
O1 0.023 0.250 0.000
O2 0.363 0.715 0.750
O3 0.367 0.550 0.125
```



(2)
Theoretical powder diffractogram
Compound: MgAg2O4
Radiation: Cu Kα (weighted mean of Kα1 and Kα2)
Structure: a PBE-relaxed structure
Peak positions follow from Bragg's law for the DFT cell and can differ from measured ones.

The 8 most intense peaks (15 to 90 degrees two-theta), sorted by position:
h k l, two_theta, I (rel.)
1 0 1, 17.76, 907
1 0 3, 30.51, 412
2 0 2, 35.96, 1000
1 2 1, 36.18, 678
1 0 5, 47.16, 197
2 2 4, 58.12, 314
2 0 6, 63.49, 178
4 2 2, 76.77, 207

Cell and atoms:
```
data_MgAg2O4
_chemical_formula_sum 'Mg4 Ag8 O16'
_symmetry_space_group_name_H-M 'I 41/a'
_symmetry_Int_Tables_number 88
_cell_length_a 5.723
_cell_length_b 5.723
_cell_length_c 10.234
_cell_angle_alpha 90.00
_cell_angle_beta 90.00
_cell_angle_gamma 90.00
loop_
_symmetry_equiv_pos_as_xyz
'x,y,z'
'-x,-y,-z'
'-y+3/4,x+1/4,z+1/4'
'y+3/4,-x+1/4,-z+1/4'
'-x+1/2,-y,z+1/2'
'x+1/2,y,-z+1/2'
'y+3/4,-x+3/4,z+3/4'
'-y+3/4,x+3/4,-z+3/4'
'x+1/2,y+1/2,z+1/2'
'-x+1/2,-y+1/2,-z+1/2'
'-y+1/4,x+3/4,z+3/4'
'y+1/4,-x+3/4,-z+3/4'
'-x,-y+1/2,z'
'x,y+1/2,-z'
'y+1/4,-x+1/4,z+1/4'
'-y+1/4,x+1/4,-z+1/4'
loop_
_atom_site_label
_atom_site_fract_x
_atom_site_fract_y
_atom_site_fract_z
Mg1 0.000 0.250 0.125
Ag1 0.000 0.000 0.500
O1 0.179 0.433 0.330
```



(3)
Theoretical powder diffractogram
Compound: MgAg4P4O12
Radiation: Cu Kα (weighted mean of Kα1 and Kα2)
Structure: a PBE-relaxed structure
Peak positions follow from Bragg's law for the DFT cell and can differ from measured ones.

The 8 most intense peaks (15 to 90 degrees two-theta), sorted by position:
h k l, two_theta, I (rel.)
0 1 1, 16.67, 486
0 1 2, 21.54, 341
1 -1 0, 23.51, 1000
1 0 2, 26.77, 334
0 1 3, 27.47, 582
1 -1 2, 27.63, 300
1 1 1, 28.94, 336
1 0 -4, 32.94, 429

Cell and atoms:
```
data_MgAg4P4O12
_chemical_formula_sum 'Mg1 Ag4 P4 O12'
_symmetry_space_group_name_H-M 'P 1'
_symmetry_Int_Tables_number 1
_symmetry_space_group_name_Hall 'P 1'
_cell_length_a 4.328
_cell_length_b 6.545
_cell_length_c 12.947
_cell_angle_alpha 99.87
_cell_angle_beta 96.55
_cell_angle_gamma 96.35
loop_
_atom_site_label
_atom_site_fract_x
_atom_site_fract_y
_atom_site_fract_z
Mg1 0.000 0.000 0.000
Ag1 0.073 0.004 0.798
Ag2 0.133 0.313 0.275
Ag3 0.578 0.757 0.842
Ag4 0.720 0.822 0.405
P1 0.261 0.329 0.618
P2 0.391 0.466 0.045
P3 0.710 0.327 0.463
P4 0.976 0.723 0.162
O1 0.006 0.436 0.547
O2 0.092 0.145 0.652
O3 0.144 0.712 0.267
O4 0.180 0.656 0.065
O5 0.221 0.275 0.077
O6 0.461 0.222 0.526
O7 0.465 0.505 0.690
O8 0.488 0.455 0.938
O9 0.573 0.494 0.412
O10 0.681 0.539 0.140
O11 0.802 0.150 0.384
O12 0.874 0.925 0.136
```



(4)
Theoretical powder diffractogram
Compound: PrMgAg2O6
Radiation: Cu Kα (weighted mean of Kα1 and Kα2)
Structure: a PBE-relaxed structure
Peak positions follow from Bragg's law for the DFT cell and can differ from measured ones.

The 8 most intense peaks (15 to 90 degrees two-theta), sorted by position:
h k l, two_theta, I (rel.)
1 1 0, 18.84, 136
1 0 1, 19.72, 166
0 2 0, 31.01, 189
2 1 1, 31.57, 1000
0 0 2, 33.18, 189
4 0 0, 44.44, 124
0 2 2, 46.05, 182
2 1 3, 58.28, 202

Cell and atoms:
```
data_PrMgAg2O6
_chemical_formula_sum 'Pr2 Mg2 Ag4 O12'
_symmetry_space_group_name_H-M 'P m n 21'
_symmetry_Int_Tables_number 31
_symmetry_space_group_name_Hall 'P 2ac -2'
_cell_length_a 8.154
_cell_length_b 5.769
_cell_length_c 5.399
_cell_angle_alpha 90.00
_cell_angle_beta 90.00
_cell_angle_gamma 90.00
loop_
_atom_site_label
_atom_site_fract_x
_atom_site_fract_y
_atom_site_fract_z
Pr1 0.000 0.179 0.000
Mg1 0.000 0.678 0.445
Ag1 0.248 0.746 0.979
O1 0.000 0.322 0.588
O2 0.000 0.798 0.812
O3 0.167 0.473 0.198
O4 0.177 0.938 0.295
```



(5)
Theoretical powder diffractogram
Compound: MgAg4Ru4O12
Radiation: Cu Kα (weighted mean of Kα1 and Kα2)
Structure: a PBE-relaxed structure
Peak positions follow from Bragg's law for the DFT cell and can differ from measured ones.

The 8 most intense peaks (15 to 90 degrees two-theta), sorted by position:
h k l, two_theta, I (rel.)
2 2 2, 30.25, 1000
4 0 0, 35.07, 280
3 3 1, 38.33, 81
4 2 2, 43.30, 121
3 3 3, 46.08, 117
4 4 0, 50.43, 356
6 2 2, 59.95, 260
6 6 2, 82.08, 77

Cell and atoms:
```
data_MgAg4Ru4O12
_chemical_formula_sum 'Mg4 Ag16 Ru16 O48'
_symmetry_space_group_name_H-M 'F -4 3 m'
_symmetry_Int_Tables_number 216
_symmetry_space_group_name_Hall 'F -4 2 3'
_cell_length_a 10.236
_cell_length_b 10.236
_cell_length_c 10.236
_cell_angle_alpha 90.00
_cell_angle_beta 90.00
_cell_angle_gamma 90.00
loop_
_atom_site_label
_atom_site_fract_x
_atom_site_fract_y
_atom_site_fract_z
Mg1 0.000 0.000 0.000
Ag1 0.151 0.151 0.151
Ru1 0.125 0.125 0.625
O1 0.000 0.000 0.302
O2 0.054 0.250 0.750
```



(6)
Theoretical powder diffractogram
Compound: MgAg4Ru4O12
Radiation: Cu Kα (weighted mean of Kα1 and Kα2)
Structure: a PBE-relaxed structure
Peak positions follow from Bragg's law for the DFT cell and can differ from measured ones.

The 8 most intense peaks (15 to 90 degrees two-theta), sorted by position:
h k l, two_theta, I (rel.)
0 1 2, 17.19, 126
2 0 2, 29.91, 1000
0 0 6, 30.27, 341
0 2 4, 34.78, 468
3 0 3, 45.55, 101
2 2 0, 49.77, 237
2 0 8, 50.24, 260
2 2 6, 59.37, 161

Cell and atoms:
```
data_MgAg4Ru4O12
_chemical_formula_sum 'Mg3 Ag12 Ru12 O36'
_symmetry_space_group_name_H-M 'R 3 m'
_symmetry_Int_Tables_number 160
_symmetry_space_group_name_Hall 'R 3 -2"'
_cell_length_a 7.3287
_cell_length_b 7.3287
_cell_length_c 17.7147
_cell_angle_alpha 90.00
_cell_angle_beta 90.00
_cell_angle_gamma 120.00
loop_
_atom_site_label
_atom_site_fract_x
_atom_site_fract_y
_atom_site_fract_z
Mg1 0.0000 0.0000 0.0000
Ag1 0.0000 0.0000 0.7424
Ag2 0.0772 0.5386 0.2726
Ru1 0.0000 0.0000 0.2647
Ru2 0.1720 0.3439 0.1006
O1 0.0777 0.5389 0.1218
O2 0.0790 0.5395 0.8713
O3 0.1975 0.3951 0.9903
O4 0.2050 0.4099 0.7356
```



(7)
Theoretical powder diffractogram
Compound: MgAg4Ru4O12
Radiation: Cu Kα (weighted mean of Kα1 and Kα2)
Structure: a PBE-relaxed structure
Peak positions follow from Bragg's law for the DFT cell and can differ from measured ones.

The 8 most intense peaks (15 to 90 degrees two-theta), sorted by position:
h k l, two_theta, I (rel.)
2 2 2, 29.51, 1000
4 0 0, 34.21, 282
3 3 1, 37.39, 127
3 3 3, 44.93, 208
4 4 0, 49.16, 351
6 2 2, 58.39, 254
5 5 1, 63.35, 110
7 3 1, 68.78, 80

Cell and atoms:
```
data_MgAg4Ru4O12
_chemical_formula_sum 'Mg4 Ag16 Ru16 O48'
_symmetry_space_group_name_H-M 'F -4 3 m'
_symmetry_Int_Tables_number 216
_symmetry_space_group_name_Hall 'F -4 2 3'
_cell_length_a 10.484
_cell_length_b 10.484
_cell_length_c 10.484
_cell_angle_alpha 90.00
_cell_angle_beta 90.00
_cell_angle_gamma 90.00
loop_
_atom_site_label
_atom_site_fract_x
_atom_site_fract_y
_atom_site_fract_z
Mg1 0.000 0.000 0.000
Ag1 0.100 0.100 0.600
Ru1 0.134 0.134 0.134
O1 0.000 0.000 0.199
O2 0.059 0.250 0.250
```



(8)
Theoretical powder diffractogram
Compound: Mg2AgSbO6
Radiation: Cu Kα (weighted mean of Kα1 and Kα2)
Structure: a PBE-relaxed structure
Peak positions follow from Bragg's law for the DFT cell and can differ from measured ones.

The 8 most intense peaks (15 to 90 degrees two-theta), sorted by position:
h k l, two_theta, I (rel.)
1 0 -1, 20.91, 760
0 2 0, 23.44, 635
1 0 1, 24.56, 533
1 2 -1, 31.61, 1000
0 0 2, 32.26, 451
2 0 0, 32.67, 529
1 2 1, 34.20, 781
1 2 -3, 55.41, 373

Cell and atoms:
```
data_Mg2AgSbO6
_chemical_formula_sum 'Mg4 Ag2 Sb2 O12'
_symmetry_space_group_name_H-M 'P 1 21/m 1'
_symmetry_Int_Tables_number 11
_symmetry_space_group_name_Hall '-P 2yb'
_cell_length_a 5.551
_cell_length_b 7.591
_cell_length_c 5.620
_cell_angle_alpha 90.00
_cell_angle_beta 99.07
_cell_angle_gamma 90.00
loop_
_atom_site_label
_atom_site_fract_x
_atom_site_fract_y
_atom_site_fract_z
Mg1 0.015 0.250 0.060
Mg2 0.443 0.750 0.478
Ag1 0.000 0.000 0.500
Sb1 0.500 0.000 0.000
O1 0.114 0.750 0.602
O2 0.153 0.057 0.847
O3 0.378 0.750 0.095
O4 0.382 0.070 0.293
```